CrHO2: theoretical powder diffractogram (Cu Kα, 1.54184 Å), based on a cell relaxed with GGA+U.
Kinematic intensities with the Lorentz-polarization factor, no thermal factor.

```
data_CrHO2
_cell_length_a 9.9702
_cell_length_b 3.0480
_cell_length_c 4.5088
_cell_angle_alpha 90.00
_cell_angle_beta 90.00
_cell_angle_gamma 90.00
_symmetry_space_group_name_H-M 'P n m a'
_symmetry_Int_Tables_number 62
_symmetry_space_group_name_Hall '-P 2ac 2n'
loop_
_atom_site_label
_atom_site_fract_x
_atom_site_fract_y
_atom_site_fract_z
Cr1 0.1386 0.2500 0.0525
H1 0.0986 0.7500 0.5883
O1 0.0591 0.7500 0.8007
O2 0.1916 0.7500 0.3164
```

Top 6 peaks for 15° ≤ 2θ ≤ 90°, most intense first:
two_theta, I_rel, h k l
21.63, 100, 1 0 1
36.71, 80, 1 1 1
53.82, 39, 2 1 2
33.50, 33, 3 0 1
36.03, 26, 4 0 0
59.03, 26, 5 1 1